(1)
This entry pairs a crystal structure of LuThTc2 with its simulated powder diffraction line list. Radiation: copper Kα. Structure: a crystal structure in the Materials Project, relaxed with PBE.
Lines closer than 0.1° are merged.

Main lines, in order of rising 2θ (15 to 90 degrees two-theta):
2θ = 25.87°, intensity 13; 2θ = 36.91°, intensity 100; 2θ = 53.19°, intensity 18; 2θ = 60.07°, intensity 6; 2θ = 66.50°, intensity 36; 2θ = 78.56°, intensity 11

Structural model:
Unit cell a=6.8884 b=6.8884 c=6.8884 alpha=90.00 beta=90.00 gamma=90.00
Space group Fm-3m (No. 225)
Unique sites:
Lu 0.0000 0.0000 0.0000 [4 per cell]
Th 0.0000 0.0000 0.5000 [4 per cell]
Tc 0.2500 0.2500 0.2500 [8 per cell]

=====

(2)
This entry pairs a crystal structure of GdGa6Fe6 with its simulated powder diffraction line list. Radiation: copper Kα. Structure: a crystal structure in the Materials Project, relaxed with PBE.
Lines closer than 0.1° are merged.

Main lines, in order of rising 2θ (15 to 90 degrees two-theta):
2θ = 36.54°, intensity 81; 2θ = 42.11°, intensity 78; 2θ = 42.27°, intensity 100; 2θ = 42.54°, intensity 68; 2θ = 42.84°, intensity 52; 2θ = 77.67°, intensity 30

Structural model:
Unit cell a=4.9478 b=11.8923 c=12.1549 alpha=90.00 beta=90.00 gamma=90.00
Space group Fmmm (No. 69)
Unique sites:
Gd 0.0000 0.0000 0.0000 [4 per cell]
Ga 0.0000 0.1652 0.1850 [16 per cell]
Ga 0.2500 0.2500 0.0000 [8 per cell]
Fe 0.0000 0.1056 0.3902 [16 per cell]
Fe 0.2500 0.0000 0.2500 [8 per cell]

=====

(3)
This entry pairs a crystal structure of Pm2SiHg with its simulated powder diffraction line list. Radiation: copper Kα. Structure: a crystal structure in the Materials Project, relaxed with PBE.
Lines closer than 0.1° are merged.

Main lines, in order of rising 2θ (15 to 90 degrees two-theta):
2θ = 20.75°, intensity 24; 2θ = 34.20°, intensity 100; 2θ = 40.34°, intensity 14; 2θ = 49.14°, intensity 18; 2θ = 61.23°, intensity 37; 2θ = 82.22°, intensity 17

Structural model:
Unit cell a=7.4156 b=7.4156 c=7.4156 alpha=90.00 beta=90.00 gamma=90.00
Space group Fm-3m (No. 225)
Unique sites:
Pm 0.2500 0.2500 0.2500 [8 per cell]
Si 0.0000 0.0000 0.0000 [4 per cell]
Hg 0.0000 0.0000 0.5000 [4 per cell]

=====

(4)
This entry pairs a crystal structure of Rb2TeH12O10 with its simulated powder diffraction line list. Radiation: copper Kα. Structure: a crystal structure in the Materials Project, relaxed with PBE.
Lines closer than 0.1° are merged.

Main lines, in order of rising 2θ (15 to 90 degrees two-theta):
2θ = 17.08°, intensity 80; 2θ = 21.68°, intensity 68; 2θ = 24.78°, intensity 76; 2θ = 25.56°, intensity 100; 2θ = 29.16°, intensity 53; 2θ = 32.38°, intensity 50

Structural model:
Unit cell a=7.1563 b=8.4342 c=9.4552 alpha=101.95 beta=98.09 gamma=94.23
Space group P-1 (No. 2)
Unique sites:
Rb 0.0611 0.0382 0.2039 [2 per cell]
Rb 0.4393 0.6316 0.7078 [2 per cell]
Te 0.3679 0.0715 0.6122 [2 per cell]
H 0.0039 0.5546 0.1849 [2 per cell]
H 0.0866 0.8582 0.5012 [2 per cell]
H 0.0972 0.4507 0.3723 [2 per cell]
H 0.1094 0.3575 0.6943 [2 per cell]
H 0.1790 0.3311 0.4731 [2 per cell]
H 0.2112 0.3623 0.0378 [2 per cell]
H 0.2121 0.6503 0.0215 [2 per cell]
H 0.2830 0.2041 0.9459 [2 per cell]
H 0.3076 0.6366 0.1780 [2 per cell]
H 0.3307 0.9269 0.9127 [2 per cell]
H 0.3632 0.7400 0.4093 [2 per cell]
H 0.4117 0.8819 0.0622 [2 per cell]
O 0.0796 0.4671 0.7447 [2 per cell]
O 0.1485 0.1795 0.5824 [2 per cell]
O 0.2089 0.5809 0.0931 [2 per cell]
O 0.2142 0.4094 0.4138 [2 per cell]
O 0.2184 0.8504 0.5506 [2 per cell]
O 0.2188 0.2444 0.0311 [2 per cell]
O 0.2996 0.8573 0.9816 [2 per cell]
O 0.3806 0.0714 0.8128 [2 per cell]
O 0.4052 0.0550 0.4006 [2 per cell]
O 0.4564 0.7193 0.3408 [2 per cell]